Starting from a crystal structure in Alexandria, relaxed with PBE, the powder diffractogram of Rb6TlBr8 was simulated for a wavelength of 1.5418 Å.

Principal peaks in the range 5 to 70 degrees two-theta, by angle:
d (Å)  2theta  I (rel.)  hkl
8.726  10.1  253  1 0 0
5.561  15.9  728  1 0 1
3.000  29.8  789  3 -1 1
2.934  30.5  1000  2 -1 2
2.909  30.7  785  3 0 0
2.295  39.3  322  3 1 1
2.066  43.8  258  2 2 2
1.944  46.7  220  2 1 3
1.539  60.1  160  5 -2 3
1.532  60.4  273  3 0 4

Cell and atoms:
a b c (Å): 10.0759 10.0759 7.2170
angles (deg): 90.00 90.00 120.00
Space group P-31m (No. 162)
Inequivalent atoms, fractional coordinates:
Rb1 0.0000 0.3755 0.2183 (multiplicity 6)
Tl1 0.0000 0.0000 0.5000 (multiplicity 1)
Br1 0.0000 0.2687 0.7102 (multiplicity 6)
Br2 0.3333 0.6667 0.0000 (multiplicity 2)